[1]
This entry pairs a crystal structure of PmAl2Pt3 with its calculated XRD peak list. Radiation: CuKα. Structure: a crystal structure in Alexandria, relaxed with PBE.

Cell and atoms:
```
PmAl2Pt3
1.0
5.011 -4.073 0.000
5.011 4.073 0.000
0.000 0.000 5.459
Pm Al Pt
2 4 6
direct
0.172 0.828 0.750 Pm
0.828 0.172 0.250 Pm
0.285 0.285 0.000 Al
0.285 0.285 0.500 Al
0.715 0.715 0.000 Al
0.715 0.715 0.500 Al
0.037 0.633 0.250 Pt
0.367 0.963 0.250 Pt
0.468 0.532 0.250 Pt
0.532 0.468 0.750 Pt
0.633 0.037 0.750 Pt
0.963 0.367 0.750 Pt
```

Principal peaks in the range 10 to 80 degrees two-theta, low angle first:
| d_spacing | I/Imax |
| --- | --- |
| 2.732 | 100 |
| 2.690 | 99 |
| 2.621 | 49 |
| 2.066 | 19 |
| 1.988 | 20 |
| 1.966 | 25 |
| 1.890 | 34 |
| 1.568 | 20 |



[2]
This entry pairs a crystal structure of PmAl2Pt5 with its calculated XRD peak list. Radiation: CuKα. Structure: a crystal structure in Alexandria, relaxed with PBE.

Cell and atoms:
```
PmAl2Pt5
1.0
3.920 0.000 0.000
0.000 7.128 0.000
0.000 0.000 10.053
Pm Al Pt
2 4 10
direct
0.000 0.000 0.000 Pm
0.500 0.500 0.500 Pm
0.000 0.500 0.243 Al
0.000 0.500 0.757 Al
0.500 0.000 0.257 Al
0.500 0.000 0.743 Al
0.000 0.200 0.357 Pt
0.000 0.200 0.643 Pt
0.000 0.500 0.000 Pt
0.000 0.800 0.357 Pt
0.000 0.800 0.643 Pt
0.500 0.000 0.500 Pt
0.500 0.300 0.143 Pt
0.500 0.300 0.857 Pt
0.500 0.700 0.143 Pt
0.500 0.700 0.857 Pt
```

Principal peaks in the range 10 to 80 degrees two-theta, low angle first:
| d_spacing | I/Imax |
| --- | --- |
| 5.815 | 13 |
| 2.907 | 12 |
| 2.549 | 100 |
| 2.054 | 23 |
| 2.031 | 17 |
| 1.960 | 15 |
| 1.418 | 14 |
| 1.261 | 11 |



[3]
This entry pairs a crystal structure of Pm2Al12Pt7 with its calculated XRD peak list. Radiation: CuKα. Structure: a crystal structure in Alexandria, relaxed with PBE.

Cell and atoms:
```
Pm2Al12Pt7
1.0
9.982 0.000 0.000
-4.991 8.645 0.000
0.000 0.000 4.190
Pm Al Pt
2 12 7
direct
0.000 0.000 0.000 Pm
0.333 0.667 0.500 Pm
0.023 0.741 0.500 Al
0.139 0.389 0.000 Al
0.250 0.861 0.000 Al
0.259 0.281 0.500 Al
0.376 0.177 0.000 Al
0.538 0.120 0.500 Al
0.582 0.462 0.500 Al
0.611 0.750 0.000 Al
0.719 0.977 0.500 Al
0.802 0.624 0.000 Al
0.823 0.198 0.000 Al
0.880 0.418 0.500 Al
0.033 0.582 0.000 Pt
0.247 0.013 0.500 Pt
0.418 0.452 0.000 Pt
0.548 0.967 0.000 Pt
0.667 0.333 0.000 Pt
0.766 0.753 0.500 Pt
0.987 0.234 0.500 Pt
```

Principal peaks in the range 10 to 80 degrees two-theta, low angle first:
| d_spacing | I/Imax |
| --- | --- |
| 3.268 | 100 |
| 3.209 | 66 |
| 3.009 | 98 |
| 2.577 | 76 |
| 2.095 | 40 |
| 2.081 | 55 |
| 1.793 | 42 |
| 1.764 | 36 |



[4]
This entry pairs a crystal structure of Pm2Al9Pt6 with its calculated XRD peak list. Radiation: CuKα. Structure: a crystal structure in Alexandria, relaxed with PBE.

Cell and atoms:
```
Pm2Al9Pt6
1.0
5.509 0.000 0.000
-2.755 4.771 0.000
0.000 0.000 12.361
Pm Al Pt
2 9 6
direct
0.000 0.000 0.156 Pm
0.000 0.000 0.844 Pm
0.000 0.500 0.000 Al
0.000 0.500 0.340 Al
0.000 0.500 0.660 Al
0.500 0.000 0.000 Al
0.500 0.000 0.340 Al
0.500 0.000 0.660 Al
0.500 0.500 0.000 Al
0.500 0.500 0.340 Al
0.500 0.500 0.660 Al
0.333 0.667 0.174 Pt
0.333 0.667 0.500 Pt
0.333 0.667 0.826 Pt
0.667 0.333 0.174 Pt
0.667 0.333 0.500 Pt
0.667 0.333 0.826 Pt
```

Principal peaks in the range 10 to 80 degrees two-theta, low angle first:
| d_spacing | I/Imax |
| --- | --- |
| 4.771 | 19 |
| 4.120 | 47 |
| 2.755 | 68 |
| 2.290 | 100 |
| 2.062 | 23 |
| 1.650 | 29 |
| 1.590 | 13 |
| 1.484 | 26 |